Computed powder XRD pattern of Rb2BiAuF6 for Cu Kα, from a crystal structure in the Materials Project, relaxed with PBE.

Crystal structure
Cell lengths 9.4993, 9.4993, 9.4993 Å; angles 90.00, 90.00, 90.00 degrees
Space group Fm-3m (No. 225)
Symmetry-distinct sites (fractional):
Rb (0.2500, 0.2500, 0.2500) [8 per cell]
Bi (0.0000, 0.0000, 0.0000) [4 per cell]
Au (0.0000, 0.0000, 0.5000) [4 per cell]
F (0.0000, 0.0000, 0.2384) [24 per cell]

Top 10 peaks for 5° ≤ 2θ ≤ 70°, sorted by position:
2θ (°)	I_rel
18.68	28.6
26.54	100.0
32.66	1.7
37.89	32.9
42.56	14.7
46.85	44.0
54.66	21.9
58.28	7.3
61.76	20.1
68.42	7.3